# TmReSi2Ir
Calculated PXRD pattern, a wavelength of 1.5418 Å. Input: the GGA-PBE geometry in Alexandria.
Neutral-atom scattering factors, no anomalous dispersion.

a b c (Å): 4.187 4.187 9.597
angles (deg): 90.00 90.00 90.00
Space group I-4m2 (No. 119)
Unique sites:
Tm 0.000 0.000 0.000 (multiplicity 2)
Re 0.000 0.500 0.250 (multiplicity 2)
Si 0.000 0.000 0.374 (multiplicity 4)
Ir 0.000 0.500 0.750 (multiplicity 2)

Largest 6 diffraction maxima, low angle first, 10 to 90 degrees two-theta:
d (Å), Position (°2θ), I (rel.), index
4.798, 18.49, 18.2, 0 0 2
2.520, 35.63, 100.0, 1 1 2
2.399, 37.49, 17.5, 0 0 4
2.094, 43.21, 35.9, 2 0 0
1.577, 58.51, 19.6, 2 0 4
1.276, 74.31, 24.1, 3 1 2



# Sr2ReIr2
Calculated PXRD pattern, a wavelength of 1.5418 Å. Input: the GGA-PBE geometry in Alexandria.
Neutral-atom scattering factors, no anomalous dispersion.

a b c (Å): 6.632 6.632 5.098
angles (deg): 90.00 90.00 90.00
Space group P4/mbm (No. 127)
Unique sites:
Sr 0.180 0.320 0.000 (multiplicity 4)
Re 0.000 0.000 0.500 (multiplicity 2)
Ir 0.138 0.638 0.500 (multiplicity 4)

Largest 6 diffraction maxima, low angle first, 10 to 90 degrees two-theta:
d (Å), Position (°2θ), I (rel.), index
5.098, 17.40, 60.6, 0 0 1
2.564, 35.00, 100.0, 2 1 1
2.549, 35.21, 40.3, 0 0 2
2.097, 43.13, 36.8, 3 1 0
1.940, 46.84, 27.8, 3 1 1
1.620, 56.85, 32.8, 3 1 2



# TaRe2Ir
Calculated PXRD pattern, a wavelength of 1.5418 Å. Input: the GGA-PBE geometry in Alexandria.
Neutral-atom scattering factors, no anomalous dispersion.

a b c (Å): 5.587 7.968 2.794
angles (deg): 90.00 90.00 90.00
Space group Cmmm (No. 65)
Unique sites:
Ta 0.000 0.000 0.000 (multiplicity 2)
Re 0.250 0.250 0.500 (multiplicity 4)
Ir 0.000 0.500 0.000 (multiplicity 2)

Largest 6 diffraction maxima, low angle first, 10 to 90 degrees two-theta:
d (Å), Position (°2θ), I (rel.), index
2.287, 39.39, 100.0, 2 2 0
1.992, 45.53, 16.7, 0 4 0
1.975, 45.94, 32.5, 2 0 1
1.403, 66.68, 21.6, 2 4 1
1.199, 79.99, 13.1, 2 6 0
1.192, 80.58, 25.8, 4 2 1



# TaReIr
Calculated PXRD pattern, a wavelength of 1.5418 Å. Input: the GGA-PBE geometry in Alexandria.
Neutral-atom scattering factors, no anomalous dispersion.

a b c (Å): 4.558 7.702 5.451
angles (deg): 90.00 90.00 90.00
Space group Cmcm (No. 63)
Unique sites:
Ta 0.000 0.179 0.250 (multiplicity 4)
Re 0.000 0.500 0.000 (multiplicity 4)
Ir 0.000 0.161 0.750 (multiplicity 4)

Largest 6 diffraction maxima, low angle first, 10 to 90 degrees two-theta:
d (Å), Position (°2θ), I (rel.), index
2.279, 39.55, 28.7, 2 0 0
2.237, 40.31, 100.0, 1 3 0
2.225, 40.55, 25.4, 0 2 2
1.592, 57.93, 18.1, 2 2 2
1.308, 72.26, 18.3, 3 3 0
1.164, 82.97, 13.7, 1 3 4



# Re2Tc5Ir5
Calculated PXRD pattern, a wavelength of 1.5418 Å. Input: the GGA-PBE geometry in Alexandria.
Neutral-atom scattering factors, no anomalous dispersion.

a b c (Å): 4.752 4.754 9.079
angles (deg): 84.44 79.76 60.03
Space group P-1 (No. 2)
Unique sites:
Re 0.082 0.336 0.251 (multiplicity 2)
Tc 0.000 0.000 0.500 (multiplicity 1)
Tc 0.162 0.668 0.003 (multiplicity 2)
Tc 0.244 0.002 0.752 (multiplicity 2)
Ir 0.329 0.331 0.501 (multiplicity 2)
Ir 0.418 0.668 0.248 (multiplicity 2)
Ir 0.500 0.000 0.000 (multiplicity 1)

Largest 6 diffraction maxima, low angle first, 10 to 90 degrees two-theta:
d (Å), Position (°2θ), I (rel.), index
2.245, 40.16, 51.2, -1 1 1
2.242, 40.23, 51.1, 2 1 2
2.233, 40.38, 100.0, 0 0 4
1.948, 46.63, 33.2, 1 2 3
1.934, 46.98, 64.9, 1 -1 3
1.373, 68.34, 42.3, 0 3 0



# ReTc4Ir
Calculated PXRD pattern, a wavelength of 1.5418 Å. Input: the GGA-PBE geometry in Alexandria.
Neutral-atom scattering factors, no anomalous dispersion.

a b c (Å): 4.318 6.981 6.981
angles (deg): 65.64 71.99 72.05
Space group P-1 (No. 2)
Unique sites:
Re 0.250 0.085 0.415 (multiplicity 2)
Tc 0.000 0.332 0.667 (multiplicity 2)
Tc 0.126 0.872 0.876 (multiplicity 2)
Tc 0.374 0.624 0.629 (multiplicity 2)
Tc 0.499 0.834 0.168 (multiplicity 2)
Ir 0.250 0.414 0.086 (multiplicity 2)

Largest 6 diffraction maxima, low angle first, 10 to 90 degrees two-theta:
d (Å), Position (°2θ), I (rel.), index
2.213, 40.77, 40.1, 0 1 3
2.206, 40.90, 83.8, -1 2 1
2.178, 41.46, 100.0, 1 2 -1
2.159, 41.84, 48.8, 2 1 1
1.545, 59.85, 25.6, 2 0 -2
1.156, 83.64, 26.0, 1 6 3



Repeat the fourth record exactly.
# TaReIr
Calculated PXRD pattern, a wavelength of 1.5418 Å. Input: the GGA-PBE geometry in Alexandria.
Neutral-atom scattering factors, no anomalous dispersion.

a b c (Å): 4.558 7.702 5.451
angles (deg): 90.00 90.00 90.00
Space group Cmcm (No. 63)
Unique sites:
Ta 0.000 0.179 0.250 (multiplicity 4)
Re 0.000 0.500 0.000 (multiplicity 4)
Ir 0.000 0.161 0.750 (multiplicity 4)

Largest 6 diffraction maxima, low angle first, 10 to 90 degrees two-theta:
d (Å), Position (°2θ), I (rel.), index
2.279, 39.55, 28.7, 2 0 0
2.237, 40.31, 100.0, 1 3 0
2.225, 40.55, 25.4, 0 2 2
1.592, 57.93, 18.1, 2 2 2
1.308, 72.26, 18.3, 3 3 0
1.164, 82.97, 13.7, 1 3 4